Na3Hg2: computed powder X-ray diffraction pattern (Cu Kα (λ = 1.5418 Å)), based on a structure optimized by DFT (PBE).

Top 10 peaks for 2θ = 10–90°, in order of falling intensity:
2θ 23.4, d = 3.799 Å, rel. 100; 2θ 32.7, d = 2.735 Å, rel. 84; 2θ 14.7, d = 6.007 Å, rel. 71; 2θ 33.4, d = 2.687 Å, rel. 40; 2θ 35.8, d = 2.510 Å, rel. 34; 2θ 22.6, d = 3.941 Å, rel. 33; 2θ 38.2, d = 2.356 Å, rel. 32; 2θ 15.3, d = 5.778 Å, rel. 31; 2θ 45.9, d = 1.978 Å, rel. 30; 2θ 42.6, d = 2.124 Å, rel. 25

Structure:
Cell lengths 8.496, 8.496, 7.883 Å; angles 90.00, 90.00, 90.00 degrees
Space group P4_2/mnm (No. 136)
Unique sites:
Na1 0.000 0.500 0.250 (multiplicity 4)
Na2 0.141 0.141 0.000 (multiplicity 4)
Na3 0.204 0.204 0.500 (multiplicity 4)
Hg1 0.127 0.873 0.306 (multiplicity 8)